Calculated XRD peak list of Te3WO12 for Cu Ka, from DFT lattice parameters and positions (PBE+U).
Lines closer than 0.1° are merged.

Top 8 peaks for 2θ from 10° to 90°, in order of rising 2θ:
(1 1 0), d = 3.667 Å, I 100
(-1 1 2), d = 2.649 Å, I 34
(1 1 -2), d = 2.541 Å, I 23
(2 0 -2), d = 2.089 Å, I 15
(2 2 0), d = 1.834 Å, I 16
(-1 1 4), d = 1.668 Å, I 25
(1 -1 4), d = 1.613 Å, I 17
(2 0 4), d = 1.487 Å, I 13

Cell and atoms:
abc: 5.083 5.306 7.349
angles: 86.54 89.96 89.99
Atoms (fractional coordinates):
Te1 0.000 0.000 0.000
Te2 0.000 0.000 0.500
Te3 0.500 0.500 0.000
W1 0.500 0.500 0.500
O1 0.133 0.007 0.753
O2 0.184 0.692 0.071
O3 0.190 0.315 0.448
O4 0.307 0.802 0.439
O5 0.316 0.192 0.071
O6 0.384 0.505 0.754
O7 0.616 0.495 0.246
O8 0.684 0.808 0.929
O9 0.693 0.198 0.561
O10 0.810 0.685 0.552
O11 0.816 0.308 0.929
O12 0.867 0.993 0.247